# LiMg2
Computed X-ray diffraction stick pattern, Cu Kα (λ = 1.5418 Å). Input: a crystal structure in the Materials Project, relaxed with GGA-PBE.

Principal peaks in the range 2θ from 10° to 80°, by angle:
- 13.13 deg, rel. 36.9
- 29.28 deg, rel. 33.0
- 32.80 deg, rel. 18.1
- 36.25 deg, rel. 96.0
- 36.39 deg, rel. 100.0
- 37.04 deg, rel. 96.1
- 51.21 deg, rel. 18.5
- 64.87 deg, rel. 26.9
- 66.13 deg, rel. 33.9
- 66.43 deg, rel. 30.2

Atomic structure:
```
LiMg2
1.0
5.470 -1.710 0.000
5.470 1.710 0.000
-2.337 0.000 6.741
Li Mg
2 4
direct
0.169 0.169 0.064
0.831 0.831 0.936
0.170 0.170 0.605
0.487 0.487 0.763
0.513 0.513 0.237
0.830 0.830 0.395
```